Starting from the GGA-PBE geometry in Alexandria, the powder XRD pattern of CaAcCd4 was computed for a wavelength of 1.5418 Å.
Kinematic intensities with the Lorentz-polarization factor, no thermal factor.

Largest 12 diffraction maxima, low angle first, 10° ≤ 2θ ≤ 90°:
2theta	I/Imax
20.3	25
24.7	27
29.7	100
31.8	68
40.0	44
40.4	41
41.3	10
52.0	34
57.8	14
58.1	27
66.4	22
76.2	13

Atomic structure:
Cell: 4.511 4.511 18.008 Å, 90.00 90.00 90.00°
Space group I-4m2 (No. 119)
One atom of each set of equivalent atoms:
Ca 0.000 0.000 0.000 [2 per cell]
Ac 0.000 0.500 0.250 [2 per cell]
Cd 0.000 0.000 0.423 [4 per cell]
Cd 0.000 0.500 0.668 [4 per cell]